Record 1
Structure and theoretical powder X-ray diffraction pattern of Sn4Te3Se (DFT lattice parameters and positions (PBE); Cu Kα (λ = 1.5418 Å)).

Peak list (6 most intense, 2θ from 10° to 80°, by intensity)
Position (°2θ)  I/Imax
25.06  100
31.92  84
15.04  78
43.20  45
35.46  38
46.00  28

Crystal structure
abc: 23.690 23.690 23.690
angles: 10.14 10.14 10.14
Fractional positions:
Sn 0.000 0.000 0.000
Sn 0.244 0.244 0.244
Sn 0.489 0.489 0.489
Sn 0.742 0.742 0.742
Te 0.309 0.309 0.309
Te 0.554 0.554 0.554
Te 0.798 0.798 0.798
Se 0.055 0.055 0.055


Record 2
Structure and theoretical powder X-ray diffraction pattern of Na5AuSe12 (DFT lattice parameters and positions (PBE); Cu Kα (λ = 1.5418 Å)).

Peak list (6 most intense, 2θ from 10° to 80°, by intensity)
Position (°2θ)  I/Imax
28.97  100
43.03  67
29.20  65
30.34  62
10.29  56
15.16  52

Crystal structure
abc: 7.225 17.200 8.472
angles: 90.00 106.54 90.00
Fractional positions:
Na 0.121 0.000 0.103
Na 0.220 0.799 0.018
Na 0.223 0.214 0.349
Na 0.293 0.432 0.558
Na 0.336 0.622 0.287
Na 0.664 0.122 0.713
Na 0.707 0.932 0.442
Na 0.777 0.714 0.651
Na 0.780 0.299 0.982
Na 0.879 0.500 0.897
Au 0.216 0.211 0.841
Au 0.784 0.711 0.159
Se 0.010 0.149 0.576
Se 0.048 0.342 0.753
Se 0.049 0.407 0.212
Se 0.096 0.642 0.935
Se 0.156 0.023 0.564
Se 0.216 0.810 0.483
Se 0.312 0.405 0.095
Se 0.365 0.613 0.832
Se 0.388 0.081 0.919
Se 0.394 0.049 0.422
Se 0.425 0.272 0.106
Se 0.474 0.789 0.363
Se 0.526 0.289 0.637
Se 0.575 0.772 0.894
Se 0.606 0.549 0.578
Se 0.612 0.581 0.081
Se 0.635 0.113 0.168
Se 0.688 0.905 0.905
Se 0.784 0.310 0.517
Se 0.844 0.523 0.436
Se 0.904 0.142 0.065
Se 0.951 0.907 0.788
Se 0.952 0.842 0.247
Se 0.990 0.649 0.424